HoNpH2O6: computed X-ray diffraction stick pattern (Cu Kα (λ = 1.5418 Å)), based on the PBE geometry in Alexandria.

```
data_HoNpH2O6
_space_group_name_H-M_alt 'P 1'
_space_group_IT_number 1
_cell_length_a 5.237
_cell_length_b 5.447
_cell_length_c 5.919
_cell_angle_alpha 62.65
_cell_angle_beta 89.45
_cell_angle_gamma 63.55
loop_
_space_group_symop_operation_xyz
'x,y,z'
loop_
_atom_site_label
_atom_site_fract_x
_atom_site_fract_y
_atom_site_fract_z
_atom_site_occupancy
Ho1 0.000 0.000 0.000 1
Np1 0.500 0.000 0.500 1
H1 0.087 0.528 0.738 1
H2 0.913 0.472 0.262 1
O1 0.087 0.497 0.252 1
O2 0.274 0.860 0.734 1
O3 0.389 0.874 0.279 1
O4 0.611 0.126 0.721 1
O5 0.726 0.140 0.266 1
O6 0.913 0.503 0.748 1
```

Top 10 peaks for 2θ = 10–90°, in order of rising 2θ:
| two_theta | intensity | h k l |
| --- | --- | --- |
| 21.2 | 598 | 0 1 0 |
| 22.8 | 1000 | 1 0 -1 |
| 29.4 | 258 | 1 0 1 |
| 30.4 | 223 | 0 1 2 |
| 30.7 | 219 | 1 1 -1 |
| 31.9 | 179 | -1 1 1 |
| 33.0 | 145 | 1 2 1 |
| 34.3 | 120 | 2 1 0 |
| 39.7 | 111 | 2 0 0 |
| 43.1 | 105 | 0 2 0 |